For DyTlW2O8, a structure optimized by DFT (PBE+U) gives the computed X-ray powder pattern in this record (copper Kα).
Lines closer than 0.1° are merged.

abc: 11.031 10.700 7.486
angles: 90.00 130.46 90.00
Space group C2/c (No. 15)
Asymmetric unit:
Dy: 0.000 0.224 0.250 x4
Tl: 0.000 0.211 0.750 x4
W: 0.195 0.495 0.214 x8
O: 0.017 0.390 0.463 x8
O: 0.137 0.094 0.196 x8
O: 0.187 0.436 0.941 x8
O: 0.210 0.152 0.621 x8

Most intense lines, 2θ from 10° to 90°, low angle first:
- d 3.302, I 100, hkl 2 2 0
- d 3.283, I 28, hkl 1 3 0
- d 3.065, I 95, hkl 2 2 -2
- d 2.848, I 38, hkl 0 0 2
- d 1.950, I 24, hkl 0 4 2
- d 1.871, I 29, hkl 4 0 -4